This entry pairs a crystal structure of PaZnRu2 with its computed powder X-ray diffraction pattern. Radiation: a wavelength of 1.5418 Å. Structure: a DFT-relaxed cell (GGA-PBE, the Materials Project).
Neutral-atom scattering factors, no anomalous dispersion.

Lattice parameters (Å, degrees): 6.4930 6.4930 6.4930 90.00 90.00 90.00
Fractional positions:
Pa 0.0000 0.0000 0.0000
Pa 0.0000 0.5000 0.5000
Pa 0.5000 0.0000 0.5000
Pa 0.5000 0.5000 0.0000
Zn 0.0000 0.0000 0.5000
Zn 0.0000 0.5000 0.0000
Zn 0.5000 0.0000 0.0000
Zn 0.5000 0.5000 0.5000
Ru 0.2500 0.2500 0.2500
Ru 0.2500 0.2500 0.7500
Ru 0.2500 0.7500 0.2500
Ru 0.2500 0.7500 0.7500
Ru 0.7500 0.2500 0.2500
Ru 0.7500 0.2500 0.7500
Ru 0.7500 0.7500 0.2500
Ru 0.7500 0.7500 0.7500

Principal peaks in the range 10 to 90 degrees two-theta, low angle first:
2θ 23.73, I 22; 2θ 39.25, I 100; 2θ 46.38, I 12; 2θ 56.71, I 17; 2θ 71.13, I 34; 2θ 84.39, I 11

This entry pairs a crystal structure of Pa3Sb4 with its computed powder X-ray diffraction pattern. Radiation: a wavelength of 1.5418 Å. Structure: a DFT-relaxed cell (GGA-PBE, the Materials Project).
Neutral-atom scattering factors, no anomalous dispersion.

Lattice parameters (Å, degrees): 7.9432 7.9432 7.9432 109.47 109.47 109.47
Fractional positions:
Pa 0.1250 0.8750 0.2500
Pa 0.2500 0.1250 0.8750
Pa 0.3750 0.6250 0.7500
Pa 0.6250 0.7500 0.3750
Pa 0.7500 0.3750 0.6250
Pa 0.8750 0.2500 0.1250
Sb 0.0000 0.1593 0.5000
Sb 0.0000 0.6593 0.5000
Sb 0.1593 0.5000 0.0000
Sb 0.3407 0.3407 0.3407
Sb 0.5000 0.0000 0.1593
Sb 0.5000 0.0000 0.6593
Sb 0.6593 0.5000 0.0000
Sb 0.8407 0.8407 0.8407

Principal peaks in the range 10 to 90 degrees two-theta, low angle first:
2θ 23.76, I 30; 2θ 30.83, I 100; 2θ 36.66, I 74; 2θ 44.16, I 27; 2θ 62.41, I 33; 2θ 76.29, I 20

This entry pairs a crystal structure of PaSb2 with its computed powder X-ray diffraction pattern. Radiation: a wavelength of 1.5418 Å. Structure: a DFT-relaxed cell (GGA-PBE, the Materials Project).
Neutral-atom scattering factors, no anomalous dispersion.

Lattice parameters (Å, degrees): 4.3344 4.3344 8.7541 90.00 90.00 90.00
Fractional positions:
Pa 0.2500 0.2500 0.2213
Pa 0.7500 0.7500 0.7787
Sb 0.2500 0.2500 0.8600
Sb 0.2500 0.7500 0.5000
Sb 0.7500 0.2500 0.5000
Sb 0.7500 0.7500 0.1400

Principal peaks in the range 10 to 90 degrees two-theta, low angle first:
2θ 22.90, I 39; 2θ 30.64, I 35; 2θ 30.91, I 67; 2θ 35.77, I 100; 2θ 37.14, I 46; 2θ 41.68, I 57